Entry 1:
Theoretical XRD peak list
Compound: Ba3CaTiWO9
Radiation: λ = 1.5418 Å (Cu Kα)
Structure: a structure optimized by DFT (GGA+U)

Principal peaks in the range 5 to 70 degrees two-theta, by intensity:
29.79°, rel. 100, (1 1 0)
29.38°, rel. 65, (1 0 4)
42.33°, rel. 39, (2 0 4)
24.71°, rel. 32, (1 0 3)
52.61°, rel. 24, (2 1 4)
39.08°, rel. 21, (2 0 3)
52.87°, rel. 20, (3 0 0)
61.87°, rel. 20, (2 2 0)

Atomic structure:
Lattice parameters (Å, degrees): 5.9990 5.9990 14.9986 90.00 90.00 120.00
Space group P6_3mc (No. 186)
Symmetry-distinct sites (fractional):
Ba 0.0000 0.0000 0.0000
Ba 0.3333 0.6667 0.1523
Ba 0.3333 0.6667 0.8586
Ca 0.0000 0.0000 0.2555
Ti 0.3333 0.6667 0.4000
W 0.3333 0.6667 0.5928
O 0.0351 0.5175 0.5082
O 0.1748 0.3497 0.3466
O 0.1773 0.3546 0.6612

***

Entry 2:
Theoretical XRD peak list
Compound: Li2FeF4
Radiation: λ = 1.5418 Å (Cu Kα)
Structure: a structure optimized by DFT (GGA+U)

Principal peaks in the range 5 to 70 degrees two-theta, by intensity:
14.53°, rel. 100, (0 1 1)
29.30°, rel. 14, (0 2 2)
36.10°, rel. 13, (1 2 1)
43.28°, rel. 11, (1 3 1)
55.38°, rel. 8, (1 4 2)
31.13°, rel. 7, (1 1 1)
44.60°, rel. 7, (0 3 3)
40.53°, rel. 6, (1 2 2)

Atomic structure:
Lattice parameters (Å, degrees): 3.257 8.629 8.612 90.00 90.00 90.00
Space group Pmc2_1 (No. 26)
Symmetry-distinct sites (fractional):
Li 0.000 0.004 0.000
Li 0.000 0.479 0.525
Fe 0.500 0.250 0.771
F 0.000 0.138 0.656
F 0.000 0.365 0.883
F 0.500 0.080 0.937
F 0.500 0.416 0.600

***

Entry 3:
Theoretical XRD peak list
Compound: LiMo2PO8
Radiation: λ = 1.5418 Å (Cu Kα)
Structure: a structure optimized by DFT (GGA+U)

Principal peaks in the range 5 to 70 degrees two-theta, by intensity:
22.06°, rel. 100, (1 1 -1)
20.00°, rel. 75, (1 0 3)
23.73°, rel. 75, (1 1 2)
26.29°, rel. 64, (1 1 -3)
24.05°, rel. 52, (1 0 4)
33.21°, rel. 38, (2 1 2)
34.85°, rel. 35, (0 1 6)
51.25°, rel. 33, (3 1 5)

Atomic structure:
Lattice parameters (Å, degrees): 6.727 5.249 17.727 90.00 90.01 90.00
Space group P2_1 (No. 4)
Symmetry-distinct sites (fractional):
Li 0.235 0.000 0.291
Li 0.260 0.051 0.791
Mo 0.001 0.023 0.625
Mo 0.156 0.017 0.952
Mo 0.344 0.031 0.452
Mo 0.499 0.025 0.125
P 0.206 0.507 0.192
P 0.294 0.541 0.692
O 0.007 0.513 0.148
O 0.040 0.727 0.990
O 0.138 0.369 0.656
O 0.152 0.223 0.384
O 0.156 0.609 0.272
O 0.158 0.011 0.543
O 0.212 0.821 0.697
O 0.213 0.731 0.417
O 0.287 0.228 0.198
O 0.287 0.316 0.918
O 0.342 0.035 0.043
O 0.342 0.439 0.772
O 0.348 0.825 0.883
O 0.362 0.680 0.157
O 0.459 0.320 0.490
O 0.494 0.536 0.648

***

Entry 4:
Theoretical XRD peak list
Compound: LiLuW2O8
Radiation: λ = 1.5418 Å (Cu Kα)
Structure: a structure optimized by DFT (GGA+U)

Principal peaks in the range 5 to 70 degrees two-theta, by intensity:
28.97°, rel. 100, (1 1 1)
29.87°, rel. 91, (1 1 -3)
23.46°, rel. 51, (0 1 2)
35.21°, rel. 41, (1 2 -1)
35.43°, rel. 32, (2 0 -2)
49.90°, rel. 29, (0 3 2)
17.92°, rel. 28, (0 0 2)
23.14°, rel. 25, (1 1 -1)

Atomic structure:
Lattice parameters (Å, degrees): 5.071 5.900 10.945 90.00 115.25 90.00
Space group P2/c (No. 13)
Symmetry-distinct sites (fractional):
Li 0.000 0.231 0.250
Lu 0.500 0.170 0.750
W 0.263 0.325 0.010
O 0.161 0.388 0.599
O 0.235 0.128 0.133
O 0.284 0.131 0.885
O 0.339 0.408 0.389

***

Entry 5:
Theoretical XRD peak list
Compound: CoH4SeClO6
Radiation: λ = 1.5418 Å (Cu Kα)
Structure: a structure optimized by DFT (GGA+U)

Principal peaks in the range 5 to 70 degrees two-theta, by intensity:
20.96°, rel. 100, (1 -1 0)
16.20°, rel. 98, (1 1 1)
25.41°, rel. 81, (1 2 1)
26.53°, rel. 75, (0 0 2)
13.18°, rel. 60, (0 0 1)
15.53°, rel. 52, (0 1 1)
28.39°, rel. 33, (2 1 0)
38.79°, rel. 33, (1 0 3)

Atomic structure:
Lattice parameters (Å, degrees): 7.086 7.187 7.619 66.38 69.22 72.96
Space group P-1 (No. 2)
Symmetry-distinct sites (fractional):
Co 0.000 0.000 0.000
Co 0.500 0.500 0.500
H 0.003 0.880 0.375
H 0.118 0.885 0.675
H 0.345 0.165 0.598
H 0.418 0.249 0.362
Se 0.292 0.295 0.978
Cl 0.134 0.628 0.601
O 0.091 0.016 0.702
O 0.120 0.743 0.064
O 0.259 0.079 0.942
O 0.394 0.188 0.170
O 0.445 0.241 0.485
O 0.500 0.364 0.773

***

Entry 6:
Theoretical XRD peak list
Compound: Mn2ZnO4
Radiation: λ = 1.5418 Å (Cu Kα)
Structure: a structure optimized by DFT (GGA+U)

Principal peaks in the range 5 to 70 degrees two-theta, by intensity:
35.75°, rel. 100, (-2 1 1)
35.64°, rel. 74, (1 -2 0)
33.23°, rel. 69, (1 0 1)
33.34°, rel. 61, (0 1 1)
60.67°, rel. 50, (2 2 -4)
29.20°, rel. 42, (1 1 0)
63.64°, rel. 42, (0 4 -2)
30.57°, rel. 38, (2 0 -1)

Atomic structure:
Lattice parameters (Å, degrees): 5.846 5.852 6.130 118.45 118.03 90.25
Space group P-1 (No. 2)
Symmetry-distinct sites (fractional):
Mn 0.000 0.000 0.000
Mn 0.000 0.000 0.500
Mn 0.000 0.500 0.000
Mn 0.500 0.000 0.500
Zn 0.379 0.629 0.754
O 0.210 0.228 0.956
O 0.223 0.754 0.006
O 0.249 0.223 0.494
O 0.249 0.768 0.491

***

Entry 7:
Theoretical XRD peak list
Compound: LiTiFeO4
Radiation: λ = 1.5418 Å (Cu Kα)
Structure: a structure optimized by DFT (GGA+U)

Principal peaks in the range 5 to 70 degrees two-theta, by intensity:
18.13°, rel. 100, (1 0 1)
42.72°, rel. 38, (2 2 0)
35.07°, rel. 35, (1 0 3)
61.90°, rel. 23, (2 2 4)
42.59°, rel. 19, (0 0 4)
35.22°, rel. 12, (2 1 1)
56.55°, rel. 8, (3 2 1)
56.30°, rel. 7, (1 0 5)

Atomic structure:
Lattice parameters (Å, degrees): 5.965 6.010 8.492 90.00 90.00 90.00
Space group Imma (No. 74)
Symmetry-distinct sites (fractional):
Li 0.000 0.250 0.121
Ti 0.250 0.250 0.750
Fe 0.000 0.000 0.500
O 0.000 0.029 0.744
O 0.228 0.250 0.518

***

- Which formula does entry 5 have?
  CoH4SeClO6